The following is a computed X-ray powder pattern of Li4Ti2V3Cu3O16. It was derived from a crystal structure in Alexandria, relaxed with PBE+U, using CuKα.
Kinematic intensities with the Lorentz-polarization factor, no thermal factor.

Main lines, by angle (2θ from 15° to 90°):
2θ (°)	I (rel.)	hkl
16.3	243	0 0 2
17.3	315	0 1 -1
17.8	1000	1 0 -1
19.0	185	1 0 1
19.6	318	-1 1 1
29.8	217	1 -2 0
30.8	259	-1 2 1
32.7	383	0 2 1
36.1	234	0 1 -4
38.5	180	2 0 2

Structure:
```
data_Li4Ti2V3Cu3O16
_cell_length_a 5.758
_cell_length_b 6.104
_cell_length_c 10.929
_cell_angle_alpha 90.11
_cell_angle_beta 94.15
_cell_angle_gamma 110.78
_symmetry_space_group_name_H-M 'P 1'
_symmetry_Int_Tables_number 1
loop_
_symmetry_equiv_pos_as_xyz
'x,y,z'
loop_
_atom_site_label
_atom_site_fract_x
_atom_site_fract_y
_atom_site_fract_z
Li1 0.000 0.000 0.000
Li2 0.143 0.471 0.919
Li3 0.334 0.166 0.398
Li4 0.717 0.680 0.357
Ti1 0.404 0.563 0.626
Ti2 0.667 0.461 0.925
V1 0.789 0.133 0.262
V2 0.939 0.076 0.568
V3 0.945 0.629 0.649
Cu1 0.330 0.956 0.819
Cu2 0.410 0.352 0.145
Cu3 0.463 0.880 0.039
O1 0.011 0.215 0.157
O2 0.045 0.943 0.712
O3 0.159 0.676 0.532
O4 0.215 0.595 0.757
O5 0.287 0.275 0.558
O6 0.375 0.145 0.981
O7 0.452 0.570 0.012
O8 0.565 0.862 0.221
O9 0.616 0.324 0.293
O10 0.650 0.524 0.753
O11 0.667 0.980 0.880
O12 0.693 0.739 0.543
O13 0.799 0.269 0.597
O14 0.826 0.219 0.906
O15 0.955 0.053 0.389
O16 0.956 0.658 0.982
```